Record 1
Theoretical powder XRD pattern
Compound: Cr3HgF6
Radiation: Cu Ka
Structure: a GGA+U-relaxed structure

Atomic structure:
```
data_Cr3HgF6
_symmetry_space_group_name_H-M 'P -1'
_symmetry_Int_Tables_number 2
_cell_length_a 8.660
_cell_length_b 8.989
_cell_length_c 16.558
_cell_angle_alpha 98.88
_cell_angle_beta 90.08
_cell_angle_gamma 115.93
loop_
_symmetry_equiv_pos_as_xyz
'x,y,z'
'-x,-y,-z'
loop_
_atom_site_label
_atom_site_fract_x
_atom_site_fract_y
_atom_site_fract_z
Cr1 0.000 0.000 0.000
Cr2 0.000 0.500 0.500
Cr3 0.500 0.000 0.500
Hg1 0.000 0.000 0.500
F1 0.017 0.073 0.110
F2 0.108 0.366 0.474
F3 0.371 0.017 0.418
```

Top 12 peaks for 2θ = 10–90°, sorted by position:
- 10.85°, I 100
- 11.11°, I 46
- 11.41°, I 46
- 14.14°, I 20
- 15.13°, I 15
- 16.33°, I 41
- 16.84°, I 15
- 22.33°, I 19
- 22.91°, I 17
- 23.11°, I 23
- 23.89°, I 21
- 24.62°, I 14

=====

Record 2
Theoretical powder XRD pattern
Compound: NaCr2O4
Radiation: Cu Ka
Structure: a GGA+U-relaxed structure

Atomic structure:
```
data_NaCr2O4
_symmetry_space_group_name_H-M 'P m m n'
_symmetry_Int_Tables_number 59
_cell_length_a 5.948
_cell_length_b 11.388
_cell_length_c 5.094
_cell_angle_alpha 90.00
_cell_angle_beta 90.00
_cell_angle_gamma 90.00
loop_
_symmetry_equiv_pos_as_xyz
'x,y,z'
'-x,-y,-z'
'-x+1/2,-y+1/2,z'
'x+1/2,y+1/2,-z'
'x+1/2,-y,-z'
'-x+1/2,y,z'
'-x,y+1/2,-z'
'x,-y+1/2,z'
loop_
_atom_site_label
_atom_site_fract_x
_atom_site_fract_y
_atom_site_fract_z
Na1 0.250 0.250 0.030
Na2 0.250 0.750 0.356
Cr1 0.000 0.000 0.500
Cr2 0.250 0.506 0.997
O1 0.002 0.092 0.841
O2 0.250 0.084 0.316
O3 0.250 0.590 0.672
```

Top 12 peaks for 2θ = 10–90°, sorted by position:
- 15.56°, I 100
- 31.42°, I 10
- 34.93°, I 12
- 35.24°, I 6
- 38.45°, I 23
- 38.73°, I 10
- 42.50°, I 8
- 47.69°, I 26
- 47.92°, I 13
- 60.67°, I 11
- 63.04°, I 10
- 65.37°, I 6

=====

Record 3
Theoretical powder XRD pattern
Compound: MgV8O16
Radiation: Cu Ka
Structure: a GGA+U-relaxed structure

Atomic structure:
```
data_MgV8O16
_symmetry_space_group_name_H-M 'P 1 m 1'
_symmetry_Int_Tables_number 6
_cell_length_a 5.204
_cell_length_b 10.381
_cell_length_c 5.900
_cell_angle_alpha 90.00
_cell_angle_beta 92.72
_cell_angle_gamma 90.00
loop_
_symmetry_equiv_pos_as_xyz
'x,y,z'
'x,-y,z'
loop_
_atom_site_label
_atom_site_fract_x
_atom_site_fract_y
_atom_site_fract_z
Mg1 0.000 0.000 0.000
V1 0.149 0.254 0.742
V2 0.156 0.254 0.248
V3 0.642 0.252 0.998
V4 0.665 0.230 0.502
O1 0.307 0.147 0.998
O2 0.311 0.153 0.488
O3 0.500 0.334 0.256
O4 0.511 0.335 0.746
O5 0.819 0.139 0.754
O6 0.829 0.142 0.226
O7 0.972 0.339 0.487
O8 0.986 0.341 0.006
```

Top 12 peaks for 2θ = 10–90°, sorted by position:
- 17.08°, I 100
- 34.26°, I 5
- 34.53°, I 9
- 38.52°, I 14
- 38.75°, I 14
- 39.86°, I 12
- 49.46°, I 10
- 49.64°, I 10
- 50.56°, I 10
- 60.71°, I 5
- 63.57°, I 8
- 65.50°, I 5

=====

Record 4
Theoretical powder XRD pattern
Compound: Li7Co5O12
Radiation: Cu Ka
Structure: a GGA+U-relaxed structure

Atomic structure:
```
data_Li7Co5O12
_symmetry_space_group_name_H-M 'P 1'
_symmetry_Int_Tables_number 1
_cell_length_a 6.481
_cell_length_b 6.492
_cell_length_c 10.018
_cell_angle_alpha 82.52
_cell_angle_beta 82.95
_cell_angle_gamma 83.37
loop_
_symmetry_equiv_pos_as_xyz
'x,y,z'
loop_
_atom_site_label
_atom_site_fract_x
_atom_site_fract_y
_atom_site_fract_z
Li1 0.000 0.000 0.000
Li2 0.001 0.005 0.503
Li3 0.170 0.844 0.749
Li4 0.178 0.837 0.254
Li5 0.351 0.675 0.999
Li6 0.354 0.670 0.506
Li7 0.521 0.513 0.258
Li8 0.523 0.516 0.753
Li9 0.681 0.339 0.002
Li10 0.682 0.349 0.510
Li11 0.762 0.756 0.382
Li12 0.765 0.759 0.874
Li13 0.846 0.163 0.752
Li14 0.848 0.173 0.252
Co1 0.080 0.430 0.875
Co2 0.090 0.432 0.379
Co3 0.260 0.258 0.626
Co4 0.265 0.257 0.126
Co5 0.438 0.074 0.874
Co6 0.448 0.079 0.379
Co7 0.597 0.923 0.629
Co8 0.602 0.920 0.130
Co9 0.926 0.595 0.127
Co10 0.927 0.593 0.625
O1 0.050 0.697 0.959
O2 0.053 0.687 0.445
O3 0.150 0.145 0.800
O4 0.151 0.157 0.316
O5 0.194 0.544 0.198
O6 0.209 0.527 0.684
O7 0.315 0.987 0.569
O8 0.329 0.967 0.070
O9 0.359 0.373 0.447
O10 0.370 0.367 0.944
O11 0.470 0.814 0.809
O12 0.477 0.814 0.302
O13 0.535 0.206 0.686
O14 0.552 0.195 0.191
O15 0.649 0.647 0.572
O16 0.658 0.641 0.078
O17 0.702 0.053 0.450
O18 0.704 0.040 0.954
O19 0.823 0.466 0.806
O20 0.835 0.469 0.308
O21 0.871 0.870 0.183
O22 0.876 0.869 0.681
O23 0.974 0.319 0.067
O24 0.988 0.318 0.559
```

Top 12 peaks for 2θ = 10–90°, sorted by position:
- 13.83°, I 9
- 18.58°, I 100
- 36.44°, I 26
- 36.68°, I 12
- 38.11°, I 7
- 44.06°, I 27
- 44.20°, I 26
- 44.38°, I 26
- 48.32°, I 8
- 63.98°, I 21
- 64.36°, I 7
- 64.72°, I 7

=====

Record 5
Theoretical powder XRD pattern
Compound: NaMgNiO2
Radiation: Cu Ka
Structure: a GGA+U-relaxed structure

Atomic structure:
```
data_NaMgNiO2
_symmetry_space_group_name_H-M 'P -1'
_symmetry_Int_Tables_number 2
_cell_length_a 2.978
_cell_length_b 4.706
_cell_length_c 5.512
_cell_angle_alpha 74.46
_cell_angle_beta 89.76
_cell_angle_gamma 82.90
loop_
_symmetry_equiv_pos_as_xyz
'x,y,z'
'-x,-y,-z'
loop_
_atom_site_label
_atom_site_fract_x
_atom_site_fract_y
_atom_site_fract_z
Na1 0.000 0.000 0.000
Mg1 0.500 0.500 0.000
Ni1 0.500 0.500 0.500
O1 0.012 0.462 0.768
```

Top 12 peaks for 2θ = 10–90°, sorted by position:
- 19.74°, I 100
- 22.20°, I 34
- 33.77°, I 17
- 34.14°, I 16
- 34.30°, I 12
- 35.22°, I 11
- 38.54°, I 12
- 40.10°, I 31
- 45.28°, I 39
- 47.44°, I 19
- 52.09°, I 14
- 56.59°, I 10

=====

Record 6
Theoretical powder XRD pattern
Compound: CaW2O7
Radiation: Cu Ka
Structure: a GGA+U-relaxed structure

Atomic structure:
```
data_CaW2O7
_symmetry_space_group_name_H-M 'P 1 21 1'
_symmetry_Int_Tables_number 4
_cell_length_a 6.844
_cell_length_b 7.118
_cell_length_c 8.726
_cell_angle_alpha 90.00
_cell_angle_beta 106.41
_cell_angle_gamma 90.00
loop_
_symmetry_equiv_pos_as_xyz
'x,y,z'
'-x,y+1/2,-z'
loop_
_atom_site_label
_atom_site_fract_x
_atom_site_fract_y
_atom_site_fract_z
Ca1 0.121 0.000 0.140
W1 0.107 0.523 0.292
W2 0.329 0.551 0.704
O1 0.053 0.654 0.102
O2 0.102 0.429 0.717
O3 0.123 0.980 0.667
O4 0.199 0.296 0.254
O5 0.281 0.634 0.484
O6 0.381 0.724 0.852
O7 0.451 0.900 0.250
```

Top 12 peaks for 2θ = 10–90°, sorted by position:
- 18.38°, I 76
- 19.23°, I 100
- 21.23°, I 52
- 25.03°, I 44
- 26.21°, I 35
- 31.06°, I 39
- 33.04°, I 24
- 33.60°, I 34
- 36.55°, I 23
- 41.06°, I 21
- 48.01°, I 13
- 49.82°, I 13

=====

Record 7
Theoretical powder XRD pattern
Compound: Ca2Mn2Si4O17
Radiation: Cu Ka
Structure: a GGA+U-relaxed structure

Atomic structure:
```
data_Ca2Mn2Si4O17
_symmetry_space_group_name_H-M 'C 1 2/m 1'
_symmetry_Int_Tables_number 12
_cell_length_a 8.865
_cell_length_b 5.961
_cell_length_c 11.929
_cell_angle_alpha 90.00
_cell_angle_beta 98.31
_cell_angle_gamma 90.00
loop_
_symmetry_equiv_pos_as_xyz
'x,y,z'
'-x,-y,-z'
'-x,y,-z'
'x,-y,z'
'x+1/2,y+1/2,z'
'-x+1/2,-y+1/2,-z'
'-x+1/2,y+1/2,-z'
'x+1/2,-y+1/2,z'
loop_
_atom_site_label
_atom_site_fract_x
_atom_site_fract_y
_atom_site_fract_z
Ca1 0.203 0.000 0.271
Mn1 0.250 0.250 0.000
Si1 0.048 0.500 0.151
Si2 0.119 0.500 0.410
O1 0.000 0.500 0.500
O2 0.006 0.500 0.281
O3 0.085 0.000 0.751
O4 0.128 0.500 0.923
O5 0.136 0.000 0.941
O6 0.138 0.271 0.126
O7 0.215 0.267 0.408
```

Top 12 peaks for 2θ = 10–90°, sorted by position:
- 17.99°, I 95
- 20.25°, I 60
- 22.61°, I 91
- 23.46°, I 57
- 30.19°, I 70
- 32.70°, I 53
- 33.69°, I 75
- 34.04°, I 84
- 34.13°, I 67
- 36.45°, I 63
- 40.77°, I 100
- 56.05°, I 48

=====

Record 8
Theoretical powder XRD pattern
Compound: Ti3Nb2Cr3O16
Radiation: Cu Ka
Structure: a GGA+U-relaxed structure

Atomic structure:
```
data_Ti3Nb2Cr3O16
_symmetry_space_group_name_H-M 'P 1'
_symmetry_Int_Tables_number 1
_cell_length_a 5.947
_cell_length_b 5.976
_cell_length_c 9.389
_cell_angle_alpha 90.15
_cell_angle_beta 90.64
_cell_angle_gamma 119.74
loop_
_symmetry_equiv_pos_as_xyz
'x,y,z'
loop_
_atom_site_label
_atom_site_fract_x
_atom_site_fract_y
_atom_site_fract_z
Ti1 0.000 0.000 0.000
Ti2 0.000 0.490 0.002
Ti3 0.830 0.654 0.498
Nb1 0.495 0.490 0.779
Nb2 0.834 0.161 0.280
Cr1 0.343 0.172 0.490
Cr2 0.351 0.669 0.498
Cr3 0.514 0.002 0.988
O1 0.001 0.001 0.380
O2 0.004 0.491 0.381
O3 0.136 0.313 0.116
O4 0.173 0.832 0.086
O5 0.182 0.830 0.583
O6 0.226 0.365 0.616
O7 0.343 0.171 0.879
O8 0.345 0.662 0.880
O9 0.507 0.510 0.388
O10 0.514 0.001 0.380
O11 0.654 0.792 0.614
O12 0.663 0.365 0.615
O13 0.705 0.318 0.117
O14 0.705 0.879 0.117
O15 0.833 0.663 0.879
O16 0.855 0.173 0.886
```

Top 12 peaks for 2θ = 10–90°, sorted by position:
- 18.91°, I 39
- 19.49°, I 73
- 19.64°, I 100
- 19.74°, I 36
- 25.72°, I 24
- 33.28°, I 24
- 33.58°, I 22
- 35.57°, I 30
- 35.82°, I 25
- 35.95°, I 35
- 36.13°, I 20
- 45.67°, I 20